Simulated powder diffraction line list of UMo5O16 for Cu Ka, from a crystal structure in Alexandria, relaxed with PBE+U.
Intensities are scaled so that the largest is 1000.

```
data_UMo5O16
_cell_length_a 7.3654
_cell_length_b 4.1209
_cell_length_c 10.0557
_cell_angle_alpha 90.00
_cell_angle_beta 91.32
_cell_angle_gamma 90.00
_space_group_name_H-M_alt 'P 1 2 1'
_space_group_IT_number 3
_space_group_name_Hall 'P 2y'
loop_
_atom_site_label
_atom_site_type_symbol
_atom_site_fract_x
_atom_site_fract_y
_atom_site_fract_z
U1 U 0.0000 0.0000 0.0000
Mo1 Mo 0.2372 0.9078 0.6857
Mo2 Mo 0.2582 0.0842 0.3196
Mo3 Mo 0.5000 0.9053 0.0000
O1 O 0.0000 0.5001 0.0000
O2 O 0.0095 0.0003 0.2414
O3 O 0.1870 0.0035 0.4901
O4 O 0.2318 0.4860 0.6777
O5 O 0.2555 0.5070 0.3133
O6 O 0.2836 0.9867 0.8777
O7 O 0.2875 0.9976 0.1191
O8 O 0.4963 0.0076 0.6549
O9 O 0.5000 0.4816 0.0000
```

Largest 10 diffraction maxima, sorted by position, 15° ≤ 2θ ≤ 90°:
hkl 0 1 0, 2θ = 21.6°, I = 1000; hkl 2 0 -1, 2θ = 25.6°, I = 260; hkl 2 0 1, 2θ = 26.0°, I = 374; hkl 1 1 -1, 2θ = 26.2°, I = 191; hkl 0 0 3, 2θ = 26.6°, I = 636; hkl 2 0 -2, 2θ = 29.7°, I = 337; hkl 2 0 2, 2θ = 30.4°, I = 274; hkl 2 1 1, 2θ = 34.0°, I = 167; hkl 0 1 3, 2θ = 34.5°, I = 266; hkl 4 0 0, 2θ = 49.5°, I = 230